Structure and calculated X-ray powder pattern of ThCdPd2Pt (a PBE-relaxed structure; λ = 1.5418 Å (Cu Kα)).
Kinematic intensities with the Lorentz-polarization factor, no thermal factor.

Largest 8 diffraction maxima, sorted by position, 2θ = 10–90°:
d = 4.004 Å, 2θ 22.20, rel. 15, (1 0 0)
d = 3.270 Å, 2θ 27.27, rel. 20, (1 0 1)
d = 2.313 Å, 2θ 38.95, rel. 100, (1 1 0)
d = 1.888 Å, 2θ 48.21, rel. 4, (0 2 1)
d = 1.635 Å, 2θ 56.26, rel. 18, (0 2 2)
d = 1.335 Å, 2θ 70.55, rel. 28, (3 0 0)
d = 1.208 Å, 2θ 79.30, rel. 12, (1 1 4)
d = 1.156 Å, 2θ 83.66, rel. 6, (2 2 0)

Cell: 4.6231 4.6231 5.6690 Å, 90.00 90.00 120.00°
Space group P3m1 (No. 156)
Inequivalent atoms, fractional coordinates:
1 Th 0.0000 0.0000 0.0000
2 Cd 0.3333 0.6667 0.4870
3 Pd 0.0000 0.0000 0.5023
4 Pd 0.6667 0.3333 0.7364
5 Pt 0.6667 0.3333 0.2399

Structure and calculated X-ray powder pattern of RbMnSi2Te8 (a PBE-relaxed structure; λ = 1.5418 Å (Cu Kα)).
Kinematic intensities with the Lorentz-polarization factor, no thermal factor.

Largest 8 diffraction maxima, sorted by position, 2θ = 10–90°:
d = 3.209 Å, 2θ 27.80, rel. 100, (1 1 3)
d = 3.020 Å, 2θ 29.58, rel. 26, (0 0 9)
d = 2.735 Å, 2θ 32.74, rel. 71, (2 -1 6)
d = 1.981 Å, 2θ 45.80, rel. 33, (3 0 0)
d = 1.890 Å, 2θ 48.13, rel. 26, (1 1 12)
d = 1.657 Å, 2θ 55.47, rel. 24, (0 3 9)
d = 1.604 Å, 2θ 57.47, rel. 24, (2 2 6)
d = 1.247 Å, 2θ 76.40, rel. 14, (5 -4 6)

Cell: 6.8629 6.8629 27.1832 Å, 90.00 90.00 120.00°
Space group R-3 (No. 148, hexagonal axes)
Inequivalent atoms, fractional coordinates:
1 Rb 0.0000 0.0000 0.0000
2 Mn 0.0000 0.0000 0.5000
3 Si 0.0000 0.0000 0.2504
4 Te 0.0000 0.0000 0.3432
5 Te 0.0090 0.6514 0.7825

Structure and calculated X-ray powder pattern of AcLaN (a PBE-relaxed structure; λ = 1.5418 Å (Cu Kα)).
Kinematic intensities with the Lorentz-polarization factor, no thermal factor.

Largest 8 diffraction maxima, sorted by position, 2θ = 10–90°:
d = 8.049 Å, 2θ 10.99, rel. 45, (0 0 1)
d = 3.270 Å, 2θ 27.27, rel. 100, (0 1 2)
d = 3.111 Å, 2θ 28.69, rel. 100, (1 1 0)
d = 2.805 Å, 2θ 31.90, rel. 45, (0 2 0)
d = 2.739 Å, 2θ 32.69, rel. 74, (1 0 2)
d = 1.960 Å, 2θ 46.33, rel. 56, (1 2 2)
d = 1.690 Å, 2θ 54.29, rel. 21, (1 1 4)
d = 1.623 Å, 2θ 56.72, rel. 27, (2 1 2)

Cell: 3.7390 5.6102 8.0494 Å, 90.00 90.00 90.00°
Space group Pmmn (No. 59, origin choice 2)
Inequivalent atoms, fractional coordinates:
1 Ac 0.2500 0.2500 0.1124
2 La 0.2500 0.2500 0.6672
3 N 0.2500 0.7500 0.1393